Structure and simulated powder XRD pattern of Th6Co2C3Se (a structure optimized by DFT (PBE); Cu Kα (weighted mean of Kα1 and Kα2)).
Neutral-atom scattering factors, no anomalous dispersion.

Top 10 peaks for 5° ≤ 2θ ≤ 70°, by angle:
2theta, I (rel.)
26.3, 25
28.3, 52
28.9, 26
32.4, 100
34.9, 13
44.8, 22
45.7, 10
47.3, 14
48.2, 20
58.5, 11

Atomic structure:
```
12
Lattice="8.739 -1.921 0.000 8.739 1.921 0.000 -2.557 0.000 7.562" Properties=species:S:1:pos:R:3 pbc="T T T"
Th -0.524 0.000 1.695
Th 4.529 0.000 3.062
Th 3.752 0.000 6.751
Th 11.169 0.000 0.811
Th 10.392 0.000 4.500
Th 15.445 0.000 5.867
Co 1.195 0.000 6.756
Co 13.725 0.000 0.806
C 1.913 0.000 2.663
C 8.739 0.000 0.000
C 13.008 0.000 4.899
Se 7.460 0.000 3.781
```

=====

Structure and simulated powder XRD pattern of Nd2DyB9 (a structure optimized by DFT (PBE); Cu Kα (weighted mean of Kα1 and Kα2)).
Neutral-atom scattering factors, no anomalous dispersion.

Top 10 peaks for 5° ≤ 2θ ≤ 70°, by angle:
2theta, I (rel.)
23.2, 100
23.8, 26
27.8, 29
31.7, 34
33.9, 67
38.9, 26
40.4, 45
47.1, 24
49.7, 41
69.3, 17

Atomic structure:
```
12
Lattice="2.235 1.290 9.642 -2.235 1.290 9.642 0.000 -2.581 9.642" Properties=species:S:1:pos:R:3 pbc="T T T"
Nd 0.000 0.000 3.366
Nd 0.000 0.000 25.560
Dy 0.000 0.000 0.000
B -0.812 -0.469 7.947
B 0.812 -0.469 7.947
B 0.000 0.938 7.947
B 0.000 0.000 11.479
B 0.000 0.000 14.463
B 0.000 0.000 17.447
B 0.000 -0.938 20.979
B -0.812 0.469 20.979
B 0.812 0.469 20.979
```

=====

Structure and simulated powder XRD pattern of Sr6CuNi (a structure optimized by DFT (PBE); Cu Kα (weighted mean of Kα1 and Kα2)).
Neutral-atom scattering factors, no anomalous dispersion.

Top 10 peaks for 5° ≤ 2θ ≤ 70°, by angle:
2theta, I (rel.)
18.6, 12
25.0, 15
27.1, 100
34.9, 39
42.1, 31
45.3, 24
49.6, 13
50.8, 17
68.1, 14
68.5, 14

Atomic structure:
```
16
Lattice="7.428 0.000 0.000 -3.714 6.433 0.000 0.000 0.000 14.251" Properties=species:S:1:pos:R:3 pbc="T T T"
Sr -1.192 2.091 1.741
Sr -2.499 4.354 5.384
Sr 1.192 2.091 5.384
Sr -1.307 6.420 1.741
Sr 2.407 0.013 8.867
Sr 1.214 2.078 12.510
Sr 2.499 4.354 1.741
Sr 1.307 6.420 5.384
Sr 5.021 0.013 12.510
Sr 2.521 4.342 8.867
Sr 6.213 2.078 8.867
Sr 4.906 4.342 12.510
Cu 0.000 4.288 3.563
Cu 3.714 2.144 10.688
Ni 0.000 0.000 0.000
Ni 0.000 0.000 7.126
```

=====

Structure and simulated powder XRD pattern of In8AgHg4 (a structure optimized by DFT (PBE); Cu Kα (weighted mean of Kα1 and Kα2)).
Neutral-atom scattering factors, no anomalous dispersion.

Top 10 peaks for 5° ≤ 2θ ≤ 70°, by angle:
2theta, I (rel.)
21.5, 40
22.0, 44
22.5, 47
33.8, 100
35.1, 89
35.3, 90
36.3, 81
36.5, 81
37.7, 74
47.7, 37

Atomic structure:
```
13
Lattice="6.864 0.000 0.000 0.246 6.899 0.000 0.058 0.576 7.622" Properties=species:S:1:pos:R:3 pbc="T T T"
In 1.710 1.869 1.883
In 1.869 5.596 5.664
In 1.871 2.214 5.715
In 1.976 5.300 1.988
In 5.192 2.175 5.634
In 5.297 5.261 1.907
In 5.300 1.879 1.957
In 5.459 5.607 5.739
Ag 3.432 0.000 0.000
Hg 0.000 0.000 0.000
Hg 0.152 3.738 3.811
Hg 3.461 0.288 3.811
Hg 3.555 3.450 0.000
```